Record 1
The following is a calculated powder diffraction line list of RbCd2Hg10. It was derived from a GGA-PBE-relaxed structure, using a wavelength of 1.5418 Å.

Principal peaks in the range 2θ = 10–90°, by angle:
index	2theta	d (Å)	I_rel
1 3 3	28.25	3.159	36
1 1 5	32.24	2.777	50
0 4 4	32.55	2.751	53
2 2 2	33.12	2.705	100
0 2 6	35.97	2.496	23
1 3 5	36.38	2.470	29
2 0 4	36.75	2.445	40
1 5 3	36.92	2.435	27
2 4 0	37.29	2.411	40
2 6 6	58.44	1.579	28

Atomic structure:
```
data_RbCd2Hg10
_chemical_formula_sum 'Rb4 Cd8 Hg40'
_cell_length_a 6.215
_cell_length_b 15.288
_cell_length_c 15.848
_cell_angle_alpha 90.00
_cell_angle_beta 90.00
_cell_angle_gamma 90.00
_symmetry_space_group_name_H-M 'F m m m'
_symmetry_Int_Tables_number 69
_symmetry_space_group_name_Hall '-F 2 2'
loop_
_atom_site_label
_atom_site_type_symbol
_atom_site_fract_x
_atom_site_fract_y
_atom_site_fract_z
Rb1 Rb 0.000 0.000 0.000
Cd1 Cd 0.250 0.000 0.250
Hg1 Hg 0.000 0.107 0.391
Hg2 Hg 0.000 0.176 0.179
Hg3 Hg 0.250 0.250 0.000
```

Record 2
The following is a calculated powder diffraction line list of La4Pr3Pd2. It was derived from a GGA-PBE-relaxed structure, using a wavelength of 1.5418 Å.

Principal peaks in the range 2θ = 10–90°, by angle:
index	2theta	d (Å)	I_rel
1 1 -1	28.76	3.104	22
1 0 2	30.20	2.959	100
0 1 2	30.29	2.951	29
1 -1 3	34.87	2.573	14
1 1 -3	35.26	2.545	23
2 0 1	39.46	2.284	14
0 2 1	39.57	2.277	17
0 3 -2	51.87	1.763	24
3 -3 0	53.44	1.714	11
-4 2 1	61.86	1.500	12

Atomic structure:
```
data_La4Pr3Pd2
_chemical_formula_sum 'La4 Pr3 Pd2'
_cell_length_a 6.003
_cell_length_b 6.005
_cell_length_c 9.409
_cell_angle_alpha 100.04
_cell_angle_beta 99.47
_cell_angle_gamma 117.75
_symmetry_space_group_name_H-M 'P -1'
_symmetry_Int_Tables_number 2
loop_
_symmetry_equiv_pos_as_xyz
'x,y,z'
'-x,-y,-z'
loop_
_atom_site_label
_atom_site_type_symbol
_atom_site_fract_x
_atom_site_fract_y
_atom_site_fract_z
La1 La 0.068 0.223 0.292
La2 La 0.303 0.798 0.103
Pr1 Pr 0.270 0.434 0.702
Pr2 Pr 0.500 0.000 0.500
Pd1 Pd 0.251 0.250 0.000
```

Record 3
The following is a calculated powder diffraction line list of La2YGe4Pt3. It was derived from a GGA-PBE-relaxed structure, using a wavelength of 1.5418 Å.

Principal peaks in the range 2θ = 10–90°, by angle:
index	2theta	d (Å)	I_rel
1 1 1	30.00	2.978	34
1 0 3	31.44	2.845	77
1 1 2	33.09	2.707	100
2 0 0	41.34	2.184	80
1 1 4	43.52	2.080	39
1 0 5	45.34	2.000	25
2 1 3	52.85	1.732	36
1 1 6	57.47	1.603	25
2 2 0	59.90	1.544	27
3 1 2	70.16	1.341	22

Atomic structure:
```
data_La2YGe4Pt3
_chemical_formula_sum 'La2 Y1 Ge4 Pt3'
_cell_length_a 4.368
_cell_length_b 4.368
_cell_length_c 11.250
_cell_angle_alpha 90.00
_cell_angle_beta 90.00
_cell_angle_gamma 90.00
_symmetry_space_group_name_H-M 'P -4 m 2'
_symmetry_Int_Tables_number 115
loop_
_symmetry_equiv_pos_as_xyz
'x,y,z'
'y,-x,-z'
'-x,-y,z'
'-y,x,-z'
'-x,y,z'
'-y,-x,-z'
'x,-y,z'
'y,x,-z'
loop_
_atom_site_label
_atom_site_type_symbol
_atom_site_fract_x
_atom_site_fract_y
_atom_site_fract_z
La1 La 0.000 0.500 0.230
Y1 Y 0.000 0.000 0.500
Ge1 Ge 0.000 0.000 0.000
Ge2 Ge 0.000 0.500 0.662
Ge3 Ge 0.500 0.500 0.000
Pt1 Pt 0.000 0.500 0.884
Pt2 Pt 0.500 0.500 0.500
```

Record 4
The following is a calculated powder diffraction line list of Er2ZrAg6. It was derived from a GGA-PBE-relaxed structure, using a wavelength of 1.5418 Å.

Principal peaks in the range 2θ = 10–90°, by angle:
index	2theta	d (Å)	I_rel
0 4 0	33.30	2.691	60
5 1 -1	35.57	2.524	100
4 2 1	38.24	2.354	82
5 3 -1	43.00	2.103	29
1 3 -2	43.01	2.103	30
5 5 -1	55.45	1.657	27
3 1 3	62.21	1.492	19
4 6 1	62.80	1.480	18
6 2 -3	64.72	1.440	17
2 4 -4	82.51	1.169	17

Atomic structure:
```
data_Er2ZrAg6
_chemical_formula_sum 'Er8 Zr4 Ag24'
_cell_length_a 13.787
_cell_length_b 10.763
_cell_length_c 5.192
_cell_angle_alpha 90.00
_cell_angle_beta 100.33
_cell_angle_gamma 90.00
_symmetry_space_group_name_H-M 'C 1 2/c 1'
_symmetry_Int_Tables_number 15
loop_
_symmetry_equiv_pos_as_xyz
'x,y,z'
'-x,-y,-z'
'-x,y,-z+1/2'
'x,-y,z+1/2'
'x+1/2,y+1/2,z'
'-x+1/2,-y+1/2,-z'
'-x+1/2,y+1/2,-z+1/2'
'x+1/2,-y+1/2,z+1/2'
loop_
_atom_site_label
_atom_site_type_symbol
_atom_site_fract_x
_atom_site_fract_y
_atom_site_fract_z
Er1 Er 0.167 0.125 0.086
Zr1 Zr 0.000 0.378 0.250
Ag1 Ag 0.056 0.132 0.527
Ag2 Ag 0.108 0.377 0.803
Ag3 Ag 0.218 0.375 0.359
```

Record 5
The following is a calculated powder diffraction line list of Dy3ErAg. It was derived from a GGA-PBE-relaxed structure, using a wavelength of 1.5418 Å.

Principal peaks in the range 2θ = 10–90°, by angle:
index	2theta	d (Å)	I_rel
0 0 2	24.78	3.593	14
0 2 1	27.00	3.302	24
2 2 0	29.62	3.016	27
4 0 -1	32.39	2.764	42
2 2 -2	34.58	2.594	100
2 0 -3	35.11	2.556	22
2 0 2	35.26	2.545	21
0 2 4	56.93	1.618	14
4 4 -1	59.97	1.542	14
2 4 2	61.76	1.502	17

Atomic structure:
```
data_Dy3ErAg
_chemical_formula_sum 'Dy12 Er4 Ag4'
_cell_length_a 11.057
_cell_length_b 7.435
_cell_length_c 7.713
_cell_angle_alpha 90.00
_cell_angle_beta 111.29
_cell_angle_gamma 90.00
_symmetry_space_group_name_H-M 'C 1 2/m 1'
_symmetry_Int_Tables_number 12
loop_
_symmetry_equiv_pos_as_xyz
'x,y,z'
'-x,-y,-z'
'-x,y,-z'
'x,-y,z'
'x+1/2,y+1/2,z'
'-x+1/2,-y+1/2,-z'
'-x+1/2,y+1/2,-z'
'x+1/2,-y+1/2,z'
loop_
_atom_site_label
_atom_site_type_symbol
_atom_site_fract_x
_atom_site_fract_y
_atom_site_fract_z
Dy1 Dy 0.058 0.000 0.240
Dy2 Dy 0.163 0.250 0.649
Er1 Er 0.059 0.500 0.241
Ag1 Ag 0.247 0.500 0.000
```